No. 1
For SbC4S2Cl3O2, a structure optimized by DFT (PBE) gives the calculated powder X-ray diffraction pattern in this record (a wavelength of 1.5418 Å).

Largest 10 diffraction maxima, sorted by position, 2θ from 10° to 90°:
h k l	2θ/deg	I/Imax
0 2 0	11.8	502
1 1 0	12.0	1000
1 1 -2	16.5	851
0 1 2	17.7	564
1 2 -2	19.4	293
0 2 2	20.4	304
1 3 0	20.6	739
1 0 -4	30.6	253
2 4 -2	31.4	249
3 0 0	31.7	212

Structural model:
abc: 9.378 15.057 11.772
angles: 90.00 115.22 90.00
Space group P2_1/c (No. 14)
Unique sites:
Sb (0.210, 0.247, 0.412) (multiplicity 4)
C (0.295, 0.559, 0.205) (multiplicity 4)
C (0.318, 0.566, 0.710) (multiplicity 4)
C (0.422, 0.515, 0.242) (multiplicity 4)
C (0.447, 0.527, 0.729) (multiplicity 4)
S (0.128, 0.605, 0.119) (multiplicity 4)
S (0.174, 0.614, 0.725) (multiplicity 4)
Cl (0.177, 0.237, 0.605) (multiplicity 4)
Cl (0.300, 0.096, 0.424) (multiplicity 4)
Cl (0.469, 0.187, 0.010) (multiplicity 4)
O (0.019, 0.606, 0.612) (multiplicity 4)
O (0.079, 0.675, 0.187) (multiplicity 4)



No. 2
For Pr3CCl5, a structure optimized by DFT (PBE) gives the calculated powder X-ray diffraction pattern in this record (a wavelength of 1.5418 Å).

Largest 10 diffraction maxima, sorted by position, 2θ from 10° to 90°:
h k l	2θ/deg	I/Imax
2 0 0	12.6	375
2 0 2	17.9	411
2 2 -1	24.1	1000
2 0 -4	24.3	500
2 2 1	24.9	224
4 2 -1	32.6	417
4 2 1	33.7	179
0 2 5	34.8	197
0 4 0	41.0	230
4 2 -5	41.3	437

Structural model:
abc: 14.131 8.805 16.004
angles: 90.00 97.34 90.00
Space group C2/c (No. 15)
Unique sites:
Pr (0.129, 0.086, 0.438) (multiplicity 8)
Pr (0.143, 0.353, 0.954) (multiplicity 8)
Pr (0.217, 0.373, 0.202) (multiplicity 8)
C (0.229, 0.120, 0.930) (multiplicity 8)
Cl (0.017, 0.135, 0.579) (multiplicity 8)
Cl (0.029, 0.376, 0.099) (multiplicity 8)
Cl (0.129, 0.092, 0.258) (multiplicity 8)
Cl (0.136, 0.353, 0.765) (multiplicity 8)
Cl (0.237, 0.361, 0.407) (multiplicity 8)



No. 3
For Pr4C2Cl5, a structure optimized by DFT (PBE) gives the calculated powder X-ray diffraction pattern in this record (a wavelength of 1.5418 Å).

Largest 10 diffraction maxima, sorted by position, 2θ from 10° to 90°:
h k l	2θ/deg	I/Imax
0 1 1	12.3	518
0 1 3	18.8	291
0 2 2	24.7	236
1 0 3	27.3	625
0 0 6	30.5	654
1 2 1	32.6	1000
0 3 3	37.4	316
1 2 5	41.3	588
1 2 7	48.8	294
2 0 6	56.4	223

Structural model:
abc: 3.924 7.908 17.593
angles: 90.00 90.00 90.00
Space group Immm (No. 71)
Unique sites:
Pr (0.000, 0.000, 0.170) (multiplicity 4)
Pr (0.000, 0.287, 0.500) (multiplicity 4)
C (0.000, 0.000, 0.040) (multiplicity 4)
Cl (0.000, 0.230, 0.333) (multiplicity 8)
Cl (0.000, 0.500, 0.000) (multiplicity 2)